Entry 1:
For CdAu, a cell relaxed with PBE gives the theoretical powder X-ray diffraction pattern in this record (Cu Kα (λ = 1.5418 Å)).
Neutral-atom scattering factors, no anomalous dispersion.

Crystal structure
abc: 3.4023 3.4023 3.4023
angles: 90.00 90.00 90.00
Space group Pm-3m (No. 221)
Unique sites:
Cd  0.0000  0.0000  0.0000
Au  0.5000  0.5000  0.5000

Principal peaks in the range 10° ≤ 2θ ≤ 80°, sorted by position:
d/Å, 2θ (°), I (rel.), index
3.402, 26.2, 8, 1 0 0
2.406, 37.4, 100, 1 1 0
1.964, 46.2, 3, 1 1 1
1.701, 53.9, 17, 2 0 0
1.522, 60.9, 4, 2 1 0
1.389, 67.4, 35, 2 1 1
1.203, 79.7, 11, 2 2 0



Entry 2:
For Mn3Bi, a cell relaxed with PBE gives the theoretical powder X-ray diffraction pattern in this record (Cu Kα (λ = 1.5418 Å)).
Neutral-atom scattering factors, no anomalous dispersion.

Crystal structure
abc: 4.0098 4.0098 8.5501
angles: 90.00 90.00 90.00
Space group I4/mmm (No. 139)
Unique sites:
Mn  0.0000  0.0000  0.0000
Mn  0.0000  0.5000  0.2500
Bi  0.0000  0.0000  0.5000

Principal peaks in the range 10° ≤ 2θ ≤ 80°, sorted by position:
d/Å, 2θ (°), I (rel.), index
4.275, 20.8, 18, 0 0 2
3.630, 24.5, 48, 1 0 1
2.363, 38.1, 100, 1 1 2
2.323, 38.8, 16, 1 0 3
2.138, 42.3, 19, 0 0 4
2.005, 45.2, 30, 2 0 0
1.755, 52.1, 14, 2 1 1
1.462, 63.6, 21, 2 0 4
1.273, 74.5, 13, 1 1 6
1.216, 78.7, 23, 3 1 2



Entry 3:
For RbNb6S8, a cell relaxed with PBE gives the theoretical powder X-ray diffraction pattern in this record (Cu Kα (λ = 1.5418 Å)).
Neutral-atom scattering factors, no anomalous dispersion.

Crystal structure
abc: 9.7657 9.7657 3.4098
angles: 90.00 90.00 120.00
Space group P-3 (No. 147)
Unique sites:
Rb  0.0000  0.0000  0.0000
Nb  0.1112  0.4867  0.7508
S  0.0579  0.7105  0.7475
S  0.3333  0.6667  0.2505

Principal peaks in the range 10° ≤ 2θ ≤ 80°, sorted by position:
d/Å, 2θ (°), I (rel.), index
8.457, 10.5, 52, 1 0 0
4.229, 21.0, 41, 2 0 0
3.197, 27.9, 33, 1 2 0
3.162, 28.2, 37, 1 0 1
2.346, 38.4, 46, 3 1 0
2.332, 38.6, 100, 3 -2 1
2.173, 41.6, 16, 3 0 1
1.985, 45.7, 36, 2 2 1
1.846, 49.4, 31, 1 4 0
1.447, 64.4, 16, 4 2 1



Entry 4:
For Zr3Bi5, a cell relaxed with PBE gives the theoretical powder X-ray diffraction pattern in this record (Cu Kα (λ = 1.5418 Å)).
Neutral-atom scattering factors, no anomalous dispersion.

Crystal structure
abc: 7.0678 7.0678 17.2853
angles: 90.00 90.00 90.00
Space group P-4n2 (No. 118)
Unique sites:
Zr  0.0000  0.0000  0.0000
Zr  0.0000  0.0000  0.3249
Zr  0.0000  0.5000  0.2500
Zr  0.0000  0.5000  0.5877
Bi  0.1549  0.2694  0.4481
Bi  0.1586  0.8058  0.1516
Bi  0.1706  0.6706  0.7500

Principal peaks in the range 10° ≤ 2θ ≤ 80°, sorted by position:
d/Å, 2θ (°), I (rel.), index
3.534, 25.2, 15, 2 0 0
2.969, 30.1, 86, 2 1 2
2.843, 31.5, 100, 1 1 5
2.771, 32.3, 53, 2 1 3
2.498, 36.0, 36, 2 2 0
2.473, 36.3, 14, 2 2 1
2.181, 41.4, 48, 3 0 3
1.784, 51.2, 23, 2 1 8
1.681, 54.6, 14, 4 1 2
1.553, 59.5, 18, 2 0 10



Entry 5:
For La4CeZr3O14, a cell relaxed with PBE gives the theoretical powder X-ray diffraction pattern in this record (Cu Kα (λ = 1.5418 Å)).
Neutral-atom scattering factors, no anomalous dispersion.

Crystal structure
abc: 7.7094 7.7094 18.5417
angles: 90.00 90.00 120.00
Space group R-3m (No. 166, hexagonal axes)
Unique sites:
La  0.0000  0.0000  0.0000
La  0.0000  0.5000  0.5000
Ce  0.0000  0.0000  0.5000
Zr  0.0000  0.5000  0.0000
O  0.0000  0.0000  0.3710
O  0.0005  0.5002  0.1211
O  0.0079  0.5039  0.3722

Principal peaks in the range 10° ≤ 2θ ≤ 80°, sorted by position:
d/Å, 2θ (°), I (rel.), index
3.141, 28.4, 100, 2 0 2
3.090, 28.9, 32, 0 0 6
2.709, 33.1, 38, 0 2 4
1.927, 47.2, 36, 2 2 0
1.904, 47.8, 35, 2 0 8
1.643, 56.0, 15, 0 4 2
1.635, 56.3, 29, 2 2 6
1.621, 56.8, 14, 0 2 10
1.354, 69.4, 11, 0 4 8
1.250, 76.1, 12, 4 2 2



Entry 6:
For Fe3SiN4, a cell relaxed with PBE gives the theoretical powder X-ray diffraction pattern in this record (Cu Kα (λ = 1.5418 Å)).
Neutral-atom scattering factors, no anomalous dispersion.

Crystal structure
abc: 6.2283 4.7674 5.9747
angles: 90.00 90.00 90.00
Space group Pmn2_1 (No. 31)
Unique sites:
Fe  0.0000  0.1809  0.0000
Fe  0.2402  0.6589  0.7866
Si  0.0000  0.8552  0.4839
N  0.0000  0.1473  0.3158
N  0.0000  0.9102  0.7767
N  0.2303  0.6500  0.4630

Principal peaks in the range 10° ≤ 2θ ≤ 80°, sorted by position:
d/Å, 2θ (°), I (rel.), index
3.726, 23.9, 100, 0 1 1
2.987, 29.9, 13, 0 0 2
2.607, 34.4, 45, 2 1 0
2.389, 37.7, 48, 2 1 1
2.214, 40.8, 15, 0 2 1
2.156, 41.9, 31, 2 0 2
1.838, 49.6, 29, 0 1 3
1.804, 50.6, 25, 2 2 1
1.415, 66.0, 16, 2 3 0
1.372, 68.4, 22, 2 2 3



Entry 7:
For NiN, a cell relaxed with PBE gives the theoretical powder X-ray diffraction pattern in this record (Cu Kα (λ = 1.5418 Å)).
Neutral-atom scattering factors, no anomalous dispersion.

Crystal structure
abc: 4.0610 4.0610 4.0610
angles: 90.00 90.00 90.00
Space group Fm-3m (No. 225)
Unique sites:
Ni  0.0000  0.0000  0.0000
N  0.0000  0.0000  0.5000

Principal peaks in the range 10° ≤ 2θ ≤ 80°, sorted by position:
d/Å, 2θ (°), I (rel.), index
2.345, 38.4, 94, 1 1 1
2.031, 44.6, 100, 2 0 0
1.436, 65.0, 57, 2 2 0
1.224, 78.0, 34, 3 1 1